# 1
Y5Er2Hg: simulated powder diffraction line list (λ = 1.5418 Å (Cu Kα)), based on a structure optimized by DFT (PBE).
Neutral-atom scattering factors, no anomalous dispersion.

The 10 most intense peaks (2θ from 10° to 90°), low angle first:
Position (°2θ), I_rel
14.5, 77
29.2, 247
32.3, 244
33.5, 1000
44.1, 160
51.8, 198
58.4, 200
62.4, 216
63.1, 157
85.9, 134

Atomic structure:
Cell lengths 5.540, 7.059, 7.059 Å; angles 60.05, 90.00, 90.00 degrees
Element x y z (fractional)
Y1 0.000 0.000 0.000
Y2 0.000 0.008 0.499
Y3 0.000 0.499 0.008
Y4 0.500 0.327 0.836
Y5 0.500 0.836 0.327
Er1 0.000 0.497 0.497
Er2 0.500 0.838 0.838
Hg1 0.500 0.334 0.334

# 2
La3Er2TmTe2Os: simulated powder diffraction line list (λ = 1.5418 Å (Cu Kα)), based on a structure optimized by DFT (PBE).
Neutral-atom scattering factors, no anomalous dispersion.

The 10 most intense peaks (2θ from 10° to 90°), low angle first:
Position (°2θ), I_rel
12.0, 399
30.0, 940
32.2, 707
32.4, 1000
36.7, 380
38.9, 735
43.3, 297
55.0, 312
58.0, 201
59.0, 377

Atomic structure:
Cell lengths 4.182, 8.492, 8.492 Å; angles 120.03, 90.00, 90.00 degrees
Element x y z (fractional)
La1 0.000 0.000 0.000
La2 0.000 0.204 0.602
La3 0.000 0.602 0.204
Er1 0.500 0.602 0.830
Er2 0.500 0.830 0.602
Tm1 0.500 0.375 0.375
Te1 0.500 0.269 0.935
Te2 0.500 0.935 0.269
Os1 0.000 0.601 0.601